[1]
This entry pairs a crystal structure of Dy4Er2LuTe2Ir2 with its theoretical powder diffractogram. Radiation: Cu Kα. Structure: a structure optimized by DFT (GGA-PBE).
No peak broadening, texture or thermal motion is included.

Peak list (8 most intense, 2θ from 15° to 90°, most intense first)
- (1 4 1), 2θ = 33.74°, I 100
- (1 3 2), 2θ = 34.35°, I 44
- (0 3 3), 2θ = 33.20°, I 43
- (1 1 2), 2θ = 30.18°, I 37
- (2 0 0), 2θ = 46.39°, I 32
- (1 2 3), 2θ = 38.42°, I 26
- (1 0 3), 2θ = 36.59°, I 22
- (0 5 1), 2θ = 30.06°, I 19

Structure:
```
data_Dy4Er2LuTe2Ir2
_symmetry_space_group_name_H-M 'I m m 2'
_symmetry_Int_Tables_number 44
_cell_length_a 3.9146
_cell_length_b 15.6546
_cell_length_c 9.4600
_cell_angle_alpha 90.00
_cell_angle_beta 90.00
_cell_angle_gamma 90.00
loop_
_symmetry_equiv_pos_as_xyz
'x,y,z'
'-x,-y,z'
'-x,y,z'
'x,-y,z'
'x+1/2,y+1/2,z+1/2'
'-x+1/2,-y+1/2,z+1/2'
'-x+1/2,y+1/2,z+1/2'
'x+1/2,-y+1/2,z+1/2'
loop_
_atom_site_label
_atom_site_fract_x
_atom_site_fract_y
_atom_site_fract_z
Dy1 0.0000 0.1311 0.0000
Dy2 0.0000 0.3159 0.7907
Er1 0.0000 0.3543 0.1485
Lu1 0.0000 0.0000 0.4194
Te1 0.0000 0.0000 0.7534
Te2 0.0000 0.5000 0.6554
Ir1 0.0000 0.2370 0.4908
```

[2]
This entry pairs a crystal structure of DyEr2Lu4Te2Ir2 with its theoretical powder diffractogram. Radiation: Cu Kα. Structure: a structure optimized by DFT (GGA-PBE).
No peak broadening, texture or thermal motion is included.

Peak list (8 most intense, 2θ from 15° to 90°, most intense first)
- (1 4 1), 2θ = 33.95°, I 100
- (1 1 2), 2θ = 30.41°, I 54
- (1 3 2), 2θ = 34.64°, I 51
- (0 3 3), 2θ = 33.73°, I 45
- (2 0 0), 2θ = 46.43°, I 27
- (1 2 3), 2θ = 38.86°, I 25
- (2 3 3), 2θ = 58.59°, I 24
- (1 0 3), 2θ = 37.01°, I 23

Structure:
```
data_DyEr2Lu4Te2Ir2
_symmetry_space_group_name_H-M 'I m m 2'
_symmetry_Int_Tables_number 44
_cell_length_a 3.9114
_cell_length_b 15.5108
_cell_length_c 9.2944
_cell_angle_alpha 90.00
_cell_angle_beta 90.00
_cell_angle_gamma 90.00
loop_
_symmetry_equiv_pos_as_xyz
'x,y,z'
'-x,-y,z'
'-x,y,z'
'x,-y,z'
'x+1/2,y+1/2,z+1/2'
'-x+1/2,-y+1/2,z+1/2'
'-x+1/2,y+1/2,z+1/2'
'x+1/2,-y+1/2,z+1/2'
loop_
_atom_site_label
_atom_site_fract_x
_atom_site_fract_y
_atom_site_fract_z
Dy1 0.0000 0.0000 0.0000
Er1 0.0000 0.3523 0.7341
Lu1 0.0000 0.1329 0.5843
Lu2 0.0000 0.3149 0.3713
Te1 0.0000 0.0000 0.3403
Te2 0.0000 0.5000 0.2340
Ir1 0.0000 0.2392 0.0705
```

[3]
This entry pairs a crystal structure of DyEr2Lu4Te2Ir2 with its theoretical powder diffractogram. Radiation: Cu Kα. Structure: a structure optimized by DFT (GGA-PBE).
No peak broadening, texture or thermal motion is included.

Peak list (8 most intense, 2θ from 15° to 90°, most intense first)
- (1 4 1), 2θ = 33.97°, I 100
- (0 5 1), 2θ = 30.38°, I 56
- (1 3 2), 2θ = 34.62°, I 50
- (0 3 3), 2θ = 33.56°, I 45
- (2 0 0), 2θ = 46.56°, I 27
- (1 2 3), 2θ = 38.75°, I 27
- (2 3 3), 2θ = 58.59°, I 25
- (1 0 3), 2θ = 36.91°, I 23

Structure:
```
data_DyEr2Lu4Te2Ir2
_symmetry_space_group_name_H-M 'I m m 2'
_symmetry_Int_Tables_number 44
_cell_length_a 3.9008
_cell_length_b 15.5169
_cell_length_c 9.3527
_cell_angle_alpha 90.00
_cell_angle_beta 90.00
_cell_angle_gamma 90.00
loop_
_symmetry_equiv_pos_as_xyz
'x,y,z'
'-x,-y,z'
'-x,y,z'
'x,-y,z'
'x+1/2,y+1/2,z+1/2'
'-x+1/2,-y+1/2,z+1/2'
'-x+1/2,y+1/2,z+1/2'
'x+1/2,-y+1/2,z+1/2'
loop_
_atom_site_label
_atom_site_fract_x
_atom_site_fract_y
_atom_site_fract_z
Dy1 0.0000 0.0000 0.0000
Er1 0.0000 0.1320 0.5820
Lu1 0.0000 0.3144 0.3713
Lu2 0.0000 0.3525 0.7303
Te1 0.0000 0.0000 0.3360
Te2 0.0000 0.5000 0.2355
Ir1 0.0000 0.2371 0.0716
```

[4]
This entry pairs a crystal structure of Dy2Er2Lu3Te2Ir2 with its theoretical powder diffractogram. Radiation: Cu Kα. Structure: a structure optimized by DFT (GGA-PBE).
No peak broadening, texture or thermal motion is included.

Peak list (8 most intense, 2θ from 15° to 90°, most intense first)
- (1 4 1), 2θ = 33.91°, I 100
- (1 1 2), 2θ = 30.28°, I 56
- (1 3 2), 2θ = 34.51°, I 44
- (0 3 3), 2θ = 33.35°, I 44
- (2 0 0), 2θ = 46.56°, I 26
- (1 2 3), 2θ = 38.58°, I 25
- (2 3 3), 2θ = 58.45°, I 24
- (1 0 3), 2θ = 36.74°, I 22

Structure:
```
data_Dy2Er2Lu3Te2Ir2
_symmetry_space_group_name_H-M 'I m m 2'
_symmetry_Int_Tables_number 44
_cell_length_a 3.9012
_cell_length_b 15.5590
_cell_length_c 9.4224
_cell_angle_alpha 90.00
_cell_angle_beta 90.00
_cell_angle_gamma 90.00
loop_
_symmetry_equiv_pos_as_xyz
'x,y,z'
'-x,-y,z'
'-x,y,z'
'x,-y,z'
'x+1/2,y+1/2,z+1/2'
'-x+1/2,-y+1/2,z+1/2'
'-x+1/2,y+1/2,z+1/2'
'x+1/2,-y+1/2,z+1/2'
loop_
_atom_site_label
_atom_site_fract_x
_atom_site_fract_y
_atom_site_fract_z
Dy1 0.0000 0.1844 0.0000
Er1 0.0000 0.3687 0.2099
Lu1 0.0000 0.1462 0.3581
Lu2 0.0000 0.5000 0.6302
Te1 0.0000 0.0000 0.8639
Te2 0.0000 0.5000 0.9643
Ir1 0.0000 0.2628 0.7020
```

[5]
This entry pairs a crystal structure of Dy4ErLu2Te2Ir2 with its theoretical powder diffractogram. Radiation: Cu Kα. Structure: a structure optimized by DFT (GGA-PBE).
No peak broadening, texture or thermal motion is included.

Peak list (8 most intense, 2θ from 15° to 90°, most intense first)
- (1 4 1), 2θ = 33.74°, I 100
- (0 5 1), 2θ = 30.17°, I 58
- (0 3 3), 2θ = 33.38°, I 44
- (1 3 2), 2θ = 34.37°, I 41
- (1 2 3), 2θ = 38.50°, I 28
- (2 0 0), 2θ = 46.16°, I 28
- (1 0 3), 2θ = 36.66°, I 25
- (2 3 3), 2θ = 58.15°, I 25

Structure:
```
data_Dy4ErLu2Te2Ir2
_symmetry_space_group_name_H-M 'I m m 2'
_symmetry_Int_Tables_number 44
_cell_length_a 3.9334
_cell_length_b 15.6017
_cell_length_c 9.4030
_cell_angle_alpha 90.00
_cell_angle_beta 90.00
_cell_angle_gamma 90.00
loop_
_symmetry_equiv_pos_as_xyz
'x,y,z'
'-x,-y,z'
'-x,y,z'
'x,-y,z'
'x+1/2,y+1/2,z+1/2'
'-x+1/2,-y+1/2,z+1/2'
'-x+1/2,y+1/2,z+1/2'
'x+1/2,-y+1/2,z+1/2'
loop_
_atom_site_label
_atom_site_fract_x
_atom_site_fract_y
_atom_site_fract_z
Dy1 0.0000 0.1315 0.0000
Dy2 0.0000 0.3529 0.1489
Er1 0.0000 0.0000 0.4167
Lu1 0.0000 0.3149 0.7889
Te1 0.0000 0.0000 0.7522
Te2 0.0000 0.5000 0.6560
Ir1 0.0000 0.2371 0.4857
```

[6]
This entry pairs a crystal structure of DyEr2Lu4Te2Ir2 with its theoretical powder diffractogram. Radiation: Cu Kα. Structure: a structure optimized by DFT (GGA-PBE).
No peak broadening, texture or thermal motion is included.

Peak list (8 most intense, 2θ from 15° to 90°, most intense first)
- (1 4 1), 2θ = 33.99°, I 100
- (1 1 2), 2θ = 30.38°, I 54
- (1 3 2), 2θ = 34.62°, I 48
- (0 3 3), 2θ = 33.53°, I 45
- (2 0 0), 2θ = 46.62°, I 26
- (1 2 3), 2θ = 38.75°, I 25
- (1 0 3), 2θ = 36.90°, I 21
- (2 3 3), 2θ = 58.65°, I 18

Structure:
```
data_DyEr2Lu4Te2Ir2
_symmetry_space_group_name_H-M 'I m m 2'
_symmetry_Int_Tables_number 44
_cell_length_a 3.8961
_cell_length_b 15.5183
_cell_length_c 9.3631
_cell_angle_alpha 90.00
_cell_angle_beta 90.00
_cell_angle_gamma 90.00
loop_
_symmetry_equiv_pos_as_xyz
'x,y,z'
'-x,-y,z'
'-x,y,z'
'x,-y,z'
'x+1/2,y+1/2,z+1/2'
'-x+1/2,-y+1/2,z+1/2'
'-x+1/2,y+1/2,z+1/2'
'x+1/2,-y+1/2,z+1/2'
loop_
_atom_site_label
_atom_site_fract_x
_atom_site_fract_y
_atom_site_fract_z
Dy1 0.0000 0.0000 0.0000
Er1 0.0000 0.3150 0.3706
Lu1 0.0000 0.1324 0.5817
Lu2 0.0000 0.3530 0.7306
Te1 0.0000 0.0000 0.3376
Te2 0.0000 0.5000 0.2334
Ir1 0.0000 0.2384 0.0720
```

[7]
This entry pairs a crystal structure of Dy2Er2Lu3Te2Ir2 with its theoretical powder diffractogram. Radiation: Cu Kα. Structure: a structure optimized by DFT (GGA-PBE).
No peak broadening, texture or thermal motion is included.

Peak list (8 most intense, 2θ from 15° to 90°, most intense first)
- (1 4 1), 2θ = 33.86°, I 100
- (1 1 2), 2θ = 30.28°, I 54
- (1 3 2), 2θ = 34.51°, I 47
- (0 3 3), 2θ = 33.45°, I 44
- (2 0 0), 2θ = 46.42°, I 26
- (1 2 3), 2θ = 38.63°, I 24
- (2 3 3), 2θ = 58.40°, I 24
- (1 0 3), 2θ = 36.79°, I 21

Structure:
```
data_Dy2Er2Lu3Te2Ir2
_symmetry_space_group_name_H-M 'I m m 2'
_symmetry_Int_Tables_number 44
_cell_length_a 3.9124
_cell_length_b 15.5693
_cell_length_c 9.3817
_cell_angle_alpha 90.00
_cell_angle_beta 90.00
_cell_angle_gamma 90.00
loop_
_symmetry_equiv_pos_as_xyz
'x,y,z'
'-x,-y,z'
'-x,y,z'
'x,-y,z'
'x+1/2,y+1/2,z+1/2'
'-x+1/2,-y+1/2,z+1/2'
'-x+1/2,y+1/2,z+1/2'
'x+1/2,-y+1/2,z+1/2'
loop_
_atom_site_label
_atom_site_fract_x
_atom_site_fract_y
_atom_site_fract_z
Dy1 0.0000 0.1459 0.0000
Er1 0.0000 0.1840 0.6392
Lu1 0.0000 0.3673 0.8506
Lu2 0.0000 0.5000 0.2677
Te1 0.0000 0.0000 0.5023
Te2 0.0000 0.5000 0.6077
Ir1 0.0000 0.2606 0.3385
```

[8]
This entry pairs a crystal structure of Dy2Er3Lu2Te2Ir2 with its theoretical powder diffractogram. Radiation: Cu Kα. Structure: a structure optimized by DFT (GGA-PBE).
No peak broadening, texture or thermal motion is included.

Peak list (8 most intense, 2θ from 15° to 90°, most intense first)
- (1 4 1), 2θ = 33.87°, I 100
- (0 5 1), 2θ = 30.24°, I 57
- (0 3 3), 2θ = 33.30°, I 44
- (1 3 2), 2θ = 34.45°, I 38
- (1 2 3), 2θ = 38.51°, I 27
- (2 0 0), 2θ = 46.50°, I 26
- (2 3 3), 2θ = 58.37°, I 24
- (1 0 3), 2θ = 36.67°, I 23

Structure:
```
data_Dy2Er3Lu2Te2Ir2
_symmetry_space_group_name_H-M 'I m m 2'
_symmetry_Int_Tables_number 44
_cell_length_a 3.9062
_cell_length_b 15.5700
_cell_length_c 9.4411
_cell_angle_alpha 90.00
_cell_angle_beta 90.00
_cell_angle_gamma 90.00
loop_
_symmetry_equiv_pos_as_xyz
'x,y,z'
'-x,-y,z'
'-x,y,z'
'x,-y,z'
'x+1/2,y+1/2,z+1/2'
'-x+1/2,-y+1/2,z+1/2'
'-x+1/2,y+1/2,z+1/2'
'x+1/2,-y+1/2,z+1/2'
loop_
_atom_site_label
_atom_site_fract_x
_atom_site_fract_y
_atom_site_fract_z
Dy1 0.0000 0.1311 0.0000
Er1 0.0000 0.0000 0.4207
Er2 0.0000 0.3147 0.7905
Lu1 0.0000 0.3530 0.1480
Te1 0.0000 0.0000 0.7519
Te2 0.0000 0.5000 0.6572
Ir1 0.0000 0.2360 0.4921
```